(1)
Structure and calculated powder X-ray diffraction pattern of Ba2LiSmCoCu2O7 (a crystal structure in the Materials Project, relaxed with GGA+U; copper Kα).
Neutral-atom scattering factors, no anomalous dispersion.

The 8 most intense peaks (10° ≤ 2θ ≤ 90°), in order of rising 2θ:
- 2θ 30.7, intensity 62
- 2θ 31.5, intensity 69
- 2θ 32.4, intensity 100
- 2θ 36.0, intensity 46
- 2θ 36.7, intensity 37
- 2θ 45.3, intensity 29
- 2θ 47.5, intensity 28
- 2θ 56.2, intensity 25

Crystal structure
```
Ba2LiSmCoCu2O7
1.0
3.8277 0.0000 0.0000
0.0000 12.7379 0.0000
0.0000 0.0000 4.0023
Ba Li Sm Co Cu O
2 1 1 1 2 7
direct
0.0000 0.2142 0.0000
0.0000 0.7858 0.0000
0.0000 0.0000 0.1664
0.0000 0.5000 0.0161
0.5000 0.0000 0.5765
0.5000 0.3786 0.5141
0.5000 0.6214 0.5141
0.0000 0.3818 0.5158
0.0000 0.6182 0.5158
0.5000 0.0000 0.0614
0.5000 0.1446 0.5471
0.5000 0.3804 0.0149
0.5000 0.6196 0.0149
0.5000 0.8554 0.5471
```

(2)
Structure and calculated powder X-ray diffraction pattern of Ba2LiSmCoCu2O7 (a crystal structure in the Materials Project, relaxed with GGA+U; copper Kα).
Neutral-atom scattering factors, no anomalous dispersion.

The 8 most intense peaks (10° ≤ 2θ ≤ 90°), in order of rising 2θ:
- 2θ 13.8, intensity 28
- 2θ 30.2, intensity 71
- 2θ 31.4, intensity 75
- 2θ 31.9, intensity 100
- 2θ 38.4, intensity 39
- 2θ 44.1, intensity 34
- 2θ 47.5, intensity 27
- 2θ 55.1, intensity 30

Crystal structure
```
Ba2LiSmCoCu2O7
1.0
3.8309 0.0000 0.0000
0.0000 4.1107 0.0000
0.0000 0.0000 12.7972
Ba Li Sm Co Cu O
2 1 1 1 2 7
direct
0.0000 0.0000 0.0000
0.0000 0.0000 0.3151
0.0000 0.5000 0.4677
0.0000 0.0000 0.7118
0.5000 0.5000 0.1805
0.5000 0.5000 0.6015
0.5000 0.5000 0.8404
0.0000 0.5000 0.6066
0.0000 0.5000 0.8295
0.5000 0.0000 0.1824
0.5000 0.0000 0.5949
0.5000 0.0000 0.8327
0.5000 0.5000 0.0410
0.5000 0.5000 0.3356
```